1.
This entry pairs a crystal structure of ScW2 with its simulated powder diffractogram. Radiation: CuKα. Structure: the PBE geometry in Alexandria.
Neutral-atom scattering factors, no anomalous dispersion.

Crystal structure
abc: 4.914 4.914 4.914
angles: 147.88 122.47 67.43
Element x y z (fractional)
Sc: 0.000 0.000 0.000
W: 0.337 0.337 0.000
W: 0.663 0.663 0.000

Peak list (10 most intense, 2θ from 10° to 90°, in order of rising 2θ)
| 2θ (°) | I/Imax |
| --- | --- |
| 21.72 | 46 |
| 34.77 | 11 |
| 38.09 | 100 |
| 38.18 | 66 |
| 44.36 | 8 |
| 47.22 | 36 |
| 62.19 | 32 |
| 68.82 | 23 |
| 81.59 | 22 |
| 81.72 | 22 |

---

2.
This entry pairs a crystal structure of ScW5 with its simulated powder diffractogram. Radiation: CuKα. Structure: the PBE geometry in Alexandria.
Neutral-atom scattering factors, no anomalous dispersion.

Crystal structure
abc: 5.304 5.304 5.304
angles: 60.00 60.00 60.00
Element x y z (fractional)
Sc: 0.000 0.000 0.000
W: 0.375 0.375 0.375
W: 0.375 0.375 0.875
W: 0.375 0.875 0.375
W: 0.750 0.750 0.750
W: 0.875 0.375 0.375

Peak list (10 most intense, 2θ from 10° to 90°, in order of rising 2θ)
| 2θ (°) | I/Imax |
| --- | --- |
| 20.51 | 32 |
| 33.80 | 14 |
| 39.86 | 100 |
| 41.71 | 57 |
| 48.55 | 13 |
| 53.23 | 8 |
| 64.56 | 32 |
| 71.09 | 29 |
| 84.74 | 12 |
| 85.96 | 22 |

---

3.
This entry pairs a crystal structure of Sc3W5 with its simulated powder diffractogram. Radiation: CuKα. Structure: the PBE geometry in Alexandria.
Neutral-atom scattering factors, no anomalous dispersion.

Crystal structure
abc: 5.643 5.643 4.711
angles: 90.00 90.00 107.97
Element x y z (fractional)
Sc: 0.000 0.000 0.000
Sc: 0.234 0.766 0.500
Sc: 0.766 0.234 0.500
W: 0.000 0.500 0.000
W: 0.296 0.296 0.500
W: 0.500 0.000 0.000
W: 0.500 0.500 0.000
W: 0.704 0.704 0.500

Peak list (10 most intense, 2θ from 10° to 90°, in order of rising 2θ)
| 2θ (°) | I/Imax |
| --- | --- |
| 16.51 | 22 |
| 26.87 | 8 |
| 27.20 | 22 |
| 38.20 | 29 |
| 38.61 | 100 |
| 39.49 | 26 |
| 46.43 | 11 |
| 56.11 | 19 |
| 69.31 | 24 |
| 71.03 | 16 |

---

4.
This entry pairs a crystal structure of YScW with its simulated powder diffractogram. Radiation: CuKα. Structure: the PBE geometry in Alexandria.
Neutral-atom scattering factors, no anomalous dispersion.

Crystal structure
abc: 4.964 4.964 3.093
angles: 90.00 90.00 120.00
Element x y z (fractional)
Y: 0.000 0.000 0.000
Sc: 0.667 0.333 0.500
W: 0.333 0.667 0.500

Peak list (10 most intense, 2θ from 10° to 90°, in order of rising 2θ)
| 2θ (°) | I/Imax |
| --- | --- |
| 20.66 | 50 |
| 28.87 | 10 |
| 35.76 | 100 |
| 36.19 | 87 |
| 46.94 | 15 |
| 51.79 | 35 |
| 64.81 | 35 |
| 65.09 | 15 |
| 71.94 | 23 |
| 87.73 | 16 |

---

5.
This entry pairs a crystal structure of YScW2 with its simulated powder diffractogram. Radiation: CuKα. Structure: the PBE geometry in Alexandria.
Neutral-atom scattering factors, no anomalous dispersion.

Crystal structure
abc: 3.277 3.277 8.005
angles: 90.00 90.00 90.00
Element x y z (fractional)
Y: 0.000 0.000 0.000
Sc: 0.500 0.500 0.356
W: 0.000 0.000 0.576
W: 0.500 0.500 0.746

Peak list (10 most intense, 2θ from 10° to 90°, in order of rising 2θ)
| 2θ (°) | I/Imax |
| --- | --- |
| 11.05 | 100 |
| 35.40 | 78 |
| 38.87 | 41 |
| 40.53 | 19 |
| 43.75 | 34 |
| 56.14 | 14 |
| 57.41 | 7 |
| 68.15 | 23 |
| 71.65 | 9 |
| 73.77 | 15 |

---

6.
This entry pairs a crystal structure of Y13Sc3 with its simulated powder diffractogram. Radiation: CuKα. Structure: the PBE geometry in Alexandria.
Neutral-atom scattering factors, no anomalous dispersion.

Crystal structure
abc: 7.190 8.342 8.342
angles: 83.90 90.00 90.00
Element x y z (fractional)
Y: 0.000 0.000 0.000
Y: 0.000 0.431 0.914
Y: 0.000 0.504 0.504
Y: 0.000 0.914 0.431
Y: 0.251 0.250 0.250
Y: 0.253 0.165 0.675
Y: 0.253 0.675 0.165
Y: 0.500 0.423 0.916
Y: 0.500 0.505 0.505
Y: 0.500 0.916 0.423
Y: 0.747 0.165 0.675
Y: 0.747 0.675 0.165
Y: 0.749 0.250 0.250
Sc: 0.254 0.756 0.756
Sc: 0.500 0.998 0.998
Sc: 0.746 0.756 0.756

Peak list (10 most intense, 2θ from 10° to 90°, in order of rising 2θ)
| 2θ (°) | I/Imax |
| --- | --- |
| 28.73 | 25 |
| 32.10 | 24 |
| 33.00 | 100 |
| 43.61 | 15 |
| 50.79 | 6 |
| 50.94 | 13 |
| 57.80 | 19 |
| 61.36 | 7 |
| 61.50 | 14 |
| 61.94 | 10 |

---

Copy entry 6 word for word.
This entry pairs a crystal structure of Y13Sc3 with its simulated powder diffractogram. Radiation: CuKα. Structure: the PBE geometry in Alexandria.
Neutral-atom scattering factors, no anomalous dispersion.

Crystal structure
abc: 7.190 8.342 8.342
angles: 83.90 90.00 90.00
Element x y z (fractional)
Y: 0.000 0.000 0.000
Y: 0.000 0.431 0.914
Y: 0.000 0.504 0.504
Y: 0.000 0.914 0.431
Y: 0.251 0.250 0.250
Y: 0.253 0.165 0.675
Y: 0.253 0.675 0.165
Y: 0.500 0.423 0.916
Y: 0.500 0.505 0.505
Y: 0.500 0.916 0.423
Y: 0.747 0.165 0.675
Y: 0.747 0.675 0.165
Y: 0.749 0.250 0.250
Sc: 0.254 0.756 0.756
Sc: 0.500 0.998 0.998
Sc: 0.746 0.756 0.756

Peak list (10 most intense, 2θ from 10° to 90°, in order of rising 2θ)
| 2θ (°) | I/Imax |
| --- | --- |
| 28.73 | 25 |
| 32.10 | 24 |
| 33.00 | 100 |
| 43.61 | 15 |
| 50.79 | 6 |
| 50.94 | 13 |
| 57.80 | 19 |
| 61.36 | 7 |
| 61.50 | 14 |
| 61.94 | 10 |